1.
Theoretical powder diffractogram
Compound: Th3Cr
Radiation: λ = 1.5418 Å (Cu Kα)
Structure: a crystal structure in the Materials Project, relaxed with PBE
Neutral-atom scattering factors, no anomalous dispersion.

The 6 most intense peaks (2θ from 15° to 90°), by angle:
Position (°2θ), I_rel
21.97, 23
29.79, 24
32.67, 25
34.08, 100
59.22, 21
63.56, 21

Crystal structure
a = 6.926 Å, b = 6.926 Å, c = 5.481 Å
α = 90.00°, β = 90.00°, γ = 120.00°
Element x y z (fractional)
Th (0.176, 0.352, 0.250)
Th (0.176, 0.824, 0.250)
Th (0.352, 0.176, 0.750)
Th (0.648, 0.824, 0.250)
Th (0.824, 0.176, 0.750)
Th (0.824, 0.648, 0.750)
Cr (0.333, 0.667, 0.750)
Cr (0.667, 0.333, 0.250)



2.
Theoretical powder diffractogram
Compound: TiCr
Radiation: λ = 1.5418 Å (Cu Kα)
Structure: a crystal structure in the Materials Project, relaxed with PBE
Neutral-atom scattering factors, no anomalous dispersion.

The 6 most intense peaks (2θ from 15° to 90°), by angle:
Position (°2θ), I_rel
40.11, 29
42.08, 100
44.89, 20
61.75, 14
74.23, 16
80.85, 12

Crystal structure
a = 2.722 Å, b = 2.722 Å, c = 4.038 Å
α = 90.00°, β = 90.00°, γ = 111.36°
Element x y z (fractional)
Ti (0.000, 0.000, 0.000)
Cr (0.500, 0.500, 0.500)



3.
Theoretical powder diffractogram
Compound: Tl3Cr
Radiation: λ = 1.5418 Å (Cu Kα)
Structure: a crystal structure in the Materials Project, relaxed with PBE
Neutral-atom scattering factors, no anomalous dispersion.

The 6 most intense peaks (2θ from 15° to 90°), by angle:
Position (°2θ), I_rel
30.80, 23
32.83, 26
35.01, 100
54.77, 19
60.02, 21
65.34, 22

Crystal structure
a = 6.704 Å, b = 6.704 Å, c = 5.456 Å
α = 90.00°, β = 90.00°, γ = 120.00°
Element x y z (fractional)
Tl (0.171, 0.341, 0.250)
Tl (0.171, 0.829, 0.250)
Tl (0.341, 0.171, 0.750)
Tl (0.659, 0.829, 0.250)
Tl (0.829, 0.171, 0.750)
Tl (0.829, 0.659, 0.750)
Cr (0.333, 0.667, 0.750)
Cr (0.667, 0.333, 0.250)



4.
Theoretical powder diffractogram
Compound: VCr3
Radiation: λ = 1.5418 Å (Cu Kα)
Structure: a crystal structure in the Materials Project, relaxed with PBE
Neutral-atom scattering factors, no anomalous dispersion.

The 3 most intense peaks (2θ from 15° to 90°), by angle:
Position (°2θ), I_rel
44.50, 100
64.75, 14
81.96, 28

Crystal structure
a = 4.072 Å, b = 4.072 Å, c = 4.072 Å
α = 60.00°, β = 60.00°, γ = 60.00°
Element x y z (fractional)
V (0.000, 0.000, 0.000)
Cr (0.250, 0.250, 0.250)
Cr (0.500, 0.500, 0.500)
Cr (0.750, 0.750, 0.750)



5.
Theoretical powder diffractogram
Compound: ZrVCr
Radiation: λ = 1.5418 Å (Cu Kα)
Structure: a crystal structure in the Materials Project, relaxed with PBE
Neutral-atom scattering factors, no anomalous dispersion.

The 6 most intense peaks (2θ from 15° to 90°), by angle:
Position (°2θ), I_rel
34.97, 98
40.64, 100
41.02, 53
41.45, 45
41.94, 94
73.88, 43

Crystal structure
a = 5.135 Å, b = 5.135 Å, c = 5.135 Å
α = 121.85°, β = 118.22°, γ = 89.97°
Element x y z (fractional)
Zr (0.373, 0.123, 0.250)
Zr (0.627, 0.877, 0.750)
V (0.000, 0.500, 0.500)
V (0.500, 0.500, 0.000)
Cr (0.000, 0.000, 0.500)
Cr (0.000, 0.500, 0.000)



6.
Theoretical powder diffractogram
Compound: CrW
Radiation: λ = 1.5418 Å (Cu Kα)
Structure: a crystal structure in the Materials Project, relaxed with PBE
Neutral-atom scattering factors, no anomalous dispersion.

The 6 most intense peaks (2θ from 15° to 90°), by angle:
Position (°2θ), I_rel
21.06, 42
35.81, 23
41.20, 26
41.91, 100
42.88, 23
75.58, 17

Crystal structure
a = 2.672 Å, b = 2.672 Å, c = 4.218 Å
α = 90.00°, β = 90.00°, γ = 110.19°
Element x y z (fractional)
Cr (0.000, 0.000, 0.000)
W (0.500, 0.500, 0.500)



7.
Theoretical powder diffractogram
Compound: ZnCr3
Radiation: λ = 1.5418 Å (Cu Kα)
Structure: a crystal structure in the Materials Project, relaxed with PBE
Neutral-atom scattering factors, no anomalous dispersion.

The 6 most intense peaks (2θ from 15° to 90°), by angle:
Position (°2θ), I_rel
26.00, 1
30.11, 1
43.11, 100
51.04, 1
62.61, 15
79.04, 28

Crystal structure
a = 4.197 Å, b = 4.197 Å, c = 4.197 Å
α = 60.00°, β = 60.00°, γ = 60.00°
Element x y z (fractional)
Zn (0.000, 0.000, 0.000)
Cr (0.250, 0.250, 0.250)
Cr (0.500, 0.500, 0.500)
Cr (0.750, 0.750, 0.750)



8.
Theoretical powder diffractogram
Compound: Zn3Cr
Radiation: λ = 1.5418 Å (Cu Kα)
Structure: a crystal structure in the Materials Project, relaxed with PBE
Neutral-atom scattering factors, no anomalous dispersion.

The 6 most intense peaks (2θ from 15° to 90°), by angle:
Position (°2θ), I_rel
23.55, 1
41.40, 100
48.18, 47
70.51, 28
85.19, 32
89.97, 10

Crystal structure
a = 3.778 Å, b = 3.778 Å, c = 3.778 Å
α = 90.00°, β = 90.00°, γ = 90.00°
Element x y z (fractional)
Zn (0.000, 0.000, 0.500)
Zn (0.000, 0.500, 0.000)
Zn (0.500, 0.000, 0.000)
Cr (0.500, 0.500, 0.500)



9.
Theoretical powder diffractogram
Compound: CsDy2Cu3S5
Radiation: λ = 1.5418 Å (Cu Kα)
Structure: a crystal structure in the Materials Project, relaxed with PBE
Neutral-atom scattering factors, no anomalous dispersion.

The 6 most intense peaks (2θ from 15° to 90°), by angle:
Position (°2θ), I_rel
25.84, 60
28.19, 100
29.91, 51
31.32, 48
31.79, 61
45.60, 48

Crystal structure
a = 7.319 Å, b = 7.319 Å, c = 16.887 Å
α = 90.00°, β = 90.00°, γ = 148.46°
Element x y z (fractional)
Cs (0.065, 0.935, 0.750)
Cs (0.935, 0.065, 0.250)
Dy (0.192, 0.808, 0.091)
Dy (0.192, 0.808, 0.409)
Dy (0.808, 0.192, 0.591)
Dy (0.808, 0.192, 0.909)
Cu (0.343, 0.657, 0.750)
Cu (0.416, 0.584, 0.036)
Cu (0.416, 0.584, 0.464)
Cu (0.584, 0.416, 0.536)
Cu (0.584, 0.416, 0.964)
Cu (0.657, 0.343, 0.250)
S (0.170, 0.830, 0.568)
S (0.170, 0.830, 0.932)
S (0.229, 0.771, 0.250)
S (0.438, 0.562, 0.607)
S (0.438, 0.562, 0.893)
S (0.562, 0.438, 0.107)
S (0.562, 0.438, 0.393)
S (0.771, 0.229, 0.750)
S (0.830, 0.170, 0.068)
S (0.830, 0.170, 0.432)



10.
Theoretical powder diffractogram
Compound: CsEr2Cu3Se5
Radiation: λ = 1.5418 Å (Cu Kα)
Structure: a crystal structure in the Materials Project, relaxed with PBE
Neutral-atom scattering factors, no anomalous dispersion.

The 6 most intense peaks (2θ from 15° to 90°), by angle:
Position (°2θ), I_rel
28.31, 68
28.79, 100
30.18, 76
31.07, 92
43.97, 68
46.75, 74

Crystal structure
a = 7.634 Å, b = 7.634 Å, c = 17.273 Å
α = 90.00°, β = 90.00°, γ = 148.70°
Element x y z (fractional)
Cs (0.061, 0.939, 0.750)
Cs (0.939, 0.061, 0.250)
Er (0.192, 0.808, 0.091)
Er (0.192, 0.808, 0.409)
Er (0.808, 0.192, 0.591)
Er (0.808, 0.192, 0.909)
Cu (0.344, 0.656, 0.750)
Cu (0.417, 0.583, 0.033)
Cu (0.417, 0.583, 0.467)
Cu (0.583, 0.417, 0.533)
Cu (0.583, 0.417, 0.967)
Cu (0.656, 0.344, 0.250)
Se (0.169, 0.831, 0.570)
Se (0.169, 0.831, 0.930)
Se (0.238, 0.762, 0.250)
Se (0.438, 0.562, 0.612)
Se (0.438, 0.562, 0.888)
Se (0.562, 0.438, 0.112)
Se (0.562, 0.438, 0.388)
Se (0.762, 0.238, 0.750)
Se (0.831, 0.169, 0.070)
Se (0.831, 0.169, 0.430)



11.
Theoretical powder diffractogram
Compound: CsEr2Cu3Se5
Radiation: λ = 1.5418 Å (Cu Kα)
Structure: a crystal structure in the Materials Project, relaxed with PBE
Neutral-atom scattering factors, no anomalous dispersion.

The 6 most intense peaks (2θ from 15° to 90°), by angle:
Position (°2θ), I_rel
28.79, 100
30.18, 76
31.07, 90
35.25, 66
43.97, 66
46.75, 74

Crystal structure
a = 4.118 Å, b = 7.634 Å, c = 17.273 Å
α = 90.00°, β = 90.00°, γ = 105.65°
Element x y z (fractional)
Cs (0.000, 0.000, 0.000)
Cs (0.113, 0.243, 0.499)
Er (0.242, 0.515, 0.157)
Er (0.244, 0.510, 0.844)
Er (0.856, 0.740, 0.344)
Er (0.870, 0.741, 0.661)
Cu (0.405, 0.819, 0.498)
Cu (0.474, 0.966, 0.786)
Cu (0.477, 0.965, 0.215)
Cu (0.634, 0.299, 0.718)
Cu (0.638, 0.287, 0.284)
Cu (0.706, 0.437, 0.003)
Se (0.226, 0.461, 0.682)
Se (0.234, 0.472, 0.320)
Se (0.307, 0.606, 0.000)
Se (0.488, 0.000, 0.365)
Se (0.503, 0.008, 0.640)
Se (0.619, 0.253, 0.859)
Se (0.626, 0.248, 0.137)
Se (0.814, 0.647, 0.502)
Se (0.896, 0.792, 0.182)
Se (0.899, 0.789, 0.820)



12.
Theoretical powder diffractogram
Compound: Cs2CuF4
Radiation: λ = 1.5418 Å (Cu Kα)
Structure: a crystal structure in the Materials Project, relaxed with PBE
Neutral-atom scattering factors, no anomalous dispersion.

The 6 most intense peaks (2θ from 15° to 90°), by angle:
Position (°2θ), I_rel
27.67, 100
28.91, 65
38.47, 30
41.35, 37
50.48, 38
57.12, 18

Crystal structure
a = 7.808 Å, b = 7.808 Å, c = 7.808 Å
α = 147.52°, β = 147.52°, γ = 46.59°
Element x y z (fractional)
Cs (0.145, 0.145, 0.000)
Cs (0.855, 0.855, 0.000)
Cu (0.500, 0.500, 0.000)
F (0.000, 0.500, 0.500)
F (0.364, 0.364, 0.000)
F (0.500, 0.000, 0.500)
F (0.636, 0.636, 0.000)



13.
Theoretical powder diffractogram
Compound: Cs4Cu3F10
Radiation: λ = 1.5418 Å (Cu Kα)
Structure: a crystal structure in the Materials Project, relaxed with PBE
Neutral-atom scattering factors, no anomalous dispersion.

The 6 most intense peaks (2θ from 15° to 90°), by angle:
Position (°2θ), I_rel
24.66, 34
25.35, 61
27.99, 100
28.36, 56
37.93, 42
38.17, 33

Crystal structure
a = 7.790 Å, b = 7.790 Å, c = 8.101 Å
α = 114.52°, β = 114.52°, γ = 47.66°
Element x y z (fractional)
Cs (0.035, 0.035, 0.285)
Cs (0.313, 0.313, 0.216)
Cs (0.687, 0.687, 0.784)
Cs (0.965, 0.965, 0.715)
Cu (0.302, 0.302, 0.683)
Cu (0.500, 0.500, 0.000)
Cu (0.698, 0.698, 0.317)
F (0.000, 0.500, 0.500)
F (0.178, 0.178, 0.719)
F (0.178, 0.603, 0.935)
F (0.397, 0.822, 0.065)
F (0.436, 0.436, 0.671)
F (0.500, 0.000, 0.500)
F (0.564, 0.564, 0.329)
F (0.603, 0.178, 0.935)
F (0.822, 0.397, 0.065)
F (0.822, 0.822, 0.281)